[1]
Simulated powder XRD pattern
Compound: Fe5O7F3
Radiation: CuKα
Structure: a crystal structure in Alexandria, relaxed with GGA+U
Lines closer than 0.1° are merged.

Structural model:
a b c (Å): 4.6581 4.6634 15.1077
angles (deg): 89.68 89.96 88.46
Space group P-1 (No. 2)
Asymmetric unit:
1 Fe 0.0000 0.0000 0.0000 x1
2 Fe 0.0010 0.9927 0.2017 x2
3 Fe 0.0219 0.9785 0.5953 x2
4 Fe 0.4738 0.4746 0.9008 x2
5 Fe 0.4770 0.4571 0.2944 x2
6 Fe 0.5000 0.5000 0.5000 x1
7 O 0.1727 0.1806 0.3028 x2
8 O 0.1770 0.1818 0.9003 x2
9 O 0.1905 0.1906 0.5005 x2
10 O 0.3003 0.6991 0.8032 x2
11 O 0.3068 0.6931 0.9998 x2
12 O 0.3077 0.6922 0.1986 x2
13 O 0.3253 0.6918 0.6007 x2
14 F 0.2062 0.2012 0.1006 x2
15 F 0.2114 0.2039 0.6967 x2
16 F 0.2892 0.6941 0.3969 x2

Most intense lines, 2θ from 10° to 90°, most intense first:
Position (°2θ)	d [Å]	I/Imax	h k l
26.7	3.340	100.0	1 1 0
27.4	3.251	98.3	1 -1 0
35.5	2.531	52.2	0 1 -5
35.4	2.539	51.1	1 0 5
53.1	1.725	29.0	2 1 -5
53.9	1.700	28.6	2 -1 5
52.9	1.731	27.9	2 1 5
67.9	1.381	19.6	3 0 5
38.7	2.329	18.2	2 0 0
61.4	1.511	16.6	0 0 10


[2]
Simulated powder XRD pattern
Compound: Na4Mn6F19
Radiation: CuKα
Structure: a crystal structure in Alexandria, relaxed with GGA+U
Lines closer than 0.1° are merged.

Structural model:
a b c (Å): 8.1233 8.2770 8.3803
angles (deg): 109.01 108.76 109.43
Space group P1 (No. 1)
Asymmetric unit:
1 Na 0.0000 0.0000 0.0000 x1
2 Na 0.0089 0.7278 0.2504 x1
3 Na 0.2617 0.2809 0.5523 x1
4 Na 0.7265 0.0142 0.2676 x1
5 Mn 0.1978 0.6845 0.8135 x1
6 Mn 0.3397 0.5119 0.1245 x1
7 Mn 0.5060 0.8477 0.6135 x1
8 Mn 0.5153 0.1798 0.9601 x1
9 Mn 0.6735 0.5051 0.4559 x1
10 Mn 0.8625 0.3389 0.7939 x1
11 F 0.0053 0.0080 0.2760 x1
12 F 0.0280 0.6517 0.9574 x1
13 F 0.0484 0.2858 0.9841 x1
14 F 0.0570 0.3723 0.6748 x1
15 F 0.2874 0.9879 0.9416 x1
16 F 0.3026 0.7005 0.3269 x1
17 F 0.3334 0.6505 0.6388 x1
18 F 0.3710 0.0039 0.6437 x1
19 F 0.3766 0.3181 0.9181 x1
20 F 0.3897 0.3862 0.3251 x1
21 F 0.4334 0.7233 0.0441 x1
22 F 0.6398 0.0159 0.9342 x1
23 F 0.6496 0.3798 0.6087 x1
24 F 0.6625 0.2672 0.2530 x1
25 F 0.6675 0.6309 0.3004 x1
26 F 0.6848 0.0366 0.5841 x1
27 F 0.6965 0.7591 0.6727 x1
28 F 0.7351 0.3782 0.9803 x1
29 F 0.9548 0.6429 0.5823 x1

Most intense lines, 2θ from 10° to 90°, most intense first:
Position (°2θ)	d [Å]	I/Imax	h k l
13.2	6.702	100.0	1 0 0
18.7	4.736	59.1	1 1 -1
13.0	6.801	57.3	0 1 -1
29.1	3.070	50.9	-1 2 1
18.5	4.804	49.3	1 -1 1
29.7	3.008	42.7	2 -2 1
18.4	4.832	42.3	-1 1 1
29.5	3.032	34.9	-2 1 2
34.4	2.608	30.0	0 1 -3
12.8	6.941	29.9	0 0 1